Starting from a structure optimized by DFT (GGA-PBE), the PXRD pattern of Mg8CdAg2 was computed for copper Kα.
Peak positions follow from Bragg's law for the DFT cell and can differ from measured ones.

Crystal structure
Cell lengths 4.789, 6.809, 8.284 Å; angles 65.98, 73.31, 89.95 degrees
Space group P1 (No. 1)
Unique sites:
Mg: 0.000 0.000 0.000 x1
Mg: 0.035 0.567 0.927 x1
Mg: 0.199 0.054 0.595 x1
Mg: 0.367 0.900 0.263 x1
Mg: 0.404 0.397 0.188 x1
Mg: 0.591 0.278 0.817 x1
Mg: 0.698 0.763 0.598 x1
Mg: 0.817 0.516 0.360 x1
Cd: 0.202 0.485 0.593 x1
Ag: 0.541 0.830 0.918 x1
Ag: 0.858 0.150 0.281 x1

Peak list (10 most intense, 10° ≤ 2θ ≤ 90°, low angle first)
| 2θ (°) | d/Å | I_rel |
| --- | --- | --- |
| 22.7 | 3.921 | 92 |
| 22.8 | 3.908 | 35 |
| 26.2 | 3.404 | 18 |
| 26.3 | 3.386 | 42 |
| 37.4 | 2.405 | 51 |
| 37.5 | 2.396 | 100 |
| 44.1 | 2.053 | 16 |
| 44.2 | 2.048 | 29 |
| 44.4 | 2.042 | 32 |
| 67.8 | 1.383 | 15 |